Entry 1:
This entry pairs a crystal structure of MgMoOsPb2O6 with its simulated X-ray diffraction stick pattern. Radiation: CuKα. Structure: DFT lattice parameters and positions (GGA+U).

Largest 10 diffraction maxima, by angle, 10 to 90 degrees two-theta:
| 2θ/deg | I (rel.) |
| --- | --- |
| 19.56 | 100 |
| 28.80 | 69 |
| 29.52 | 60 |
| 30.01 | 65 |
| 30.50 | 51 |
| 30.81 | 43 |
| 31.06 | 59 |
| 39.73 | 25 |
| 42.28 | 25 |
| 53.48 | 27 |

abc: 5.958 6.058 6.733
angles: 91.08 116.00 117.86
Space group P1 (No. 1)
Asymmetric unit:
1 Mg 0.000 0.000 0.000
2 Mo 0.856 0.438 0.285
3 Os 0.658 0.837 0.495
4 Pb 0.329 0.604 0.007
5 Pb 0.515 0.272 0.746
6 O 0.331 0.666 0.521
7 O 0.388 0.226 0.041
8 O 0.810 0.666 0.046
9 O 0.842 0.646 0.539
10 O 0.871 0.175 0.503
11 O 0.893 0.251 0.033

=====

Entry 2:
This entry pairs a crystal structure of MgMoOsPb2O6 with its simulated X-ray diffraction stick pattern. Radiation: CuKα. Structure: DFT lattice parameters and positions (GGA+U).

Largest 10 diffraction maxima, by angle, 10 to 90 degrees two-theta:
| 2θ/deg | I (rel.) |
| --- | --- |
| 17.04 | 53 |
| 19.94 | 21 |
| 28.83 | 55 |
| 29.55 | 49 |
| 30.40 | 100 |
| 31.62 | 85 |
| 41.65 | 30 |
| 44.88 | 17 |
| 53.68 | 17 |
| 55.52 | 18 |

abc: 5.883 6.060 6.522
angles: 90.54 115.13 117.37
Space group P1 (No. 1)
Asymmetric unit:
1 Mg 0.000 0.000 0.000
2 Mo 0.629 0.818 0.455
3 Os 0.829 0.421 0.249
4 Pb 0.294 0.584 0.951
5 Pb 0.498 0.269 0.694
6 O 0.256 0.625 0.435
7 O 0.385 0.217 0.026
8 O 0.793 0.596 0.486
9 O 0.801 0.652 0.024
10 O 0.823 0.156 0.420
11 O 0.870 0.245 0.007

=====

Entry 3:
This entry pairs a crystal structure of MgMoOsPb2O6 with its simulated X-ray diffraction stick pattern. Radiation: CuKα. Structure: DFT lattice parameters and positions (GGA+U).

Largest 10 diffraction maxima, by angle, 10 to 90 degrees two-theta:
| 2θ/deg | I (rel.) |
| --- | --- |
| 18.27 | 41 |
| 29.56 | 53 |
| 29.78 | 100 |
| 30.23 | 50 |
| 34.94 | 57 |
| 42.79 | 56 |
| 46.85 | 34 |
| 47.84 | 19 |
| 52.58 | 23 |
| 53.42 | 21 |

abc: 5.913 6.044 8.516
angles: 90.00 90.00 90.00
Space group Immm (No. 71)
Asymmetric unit:
1 Mg 0.000 0.000 0.000
2 Mo 0.000 0.500 0.000
3 Os 0.000 0.500 0.500
4 Pb 0.000 0.000 0.323
5 O 0.000 0.500 0.261
6 O 0.248 0.237 0.000

=====

Entry 4:
This entry pairs a crystal structure of MgMoP2O7 with its simulated X-ray diffraction stick pattern. Radiation: CuKα. Structure: DFT lattice parameters and positions (GGA+U).

Largest 10 diffraction maxima, by angle, 10 to 90 degrees two-theta:
| 2θ/deg | I (rel.) |
| --- | --- |
| 16.77 | 52 |
| 23.48 | 27 |
| 28.53 | 56 |
| 28.71 | 100 |
| 29.27 | 83 |
| 33.89 | 60 |
| 41.25 | 30 |
| 42.95 | 19 |
| 54.73 | 19 |
| 56.37 | 18 |

abc: 6.880 8.660 4.604
angles: 90.00 104.01 90.00
Space group C2 (No. 5)
Asymmetric unit:
1 Mg 0.000 0.000 0.000
2 Mo 0.000 0.380 0.000
3 P 0.201 0.677 0.414
4 O 0.000 0.614 0.500
5 O 0.139 0.182 0.286
6 O 0.165 0.833 0.262
7 O 0.243 0.546 0.211

=====

Entry 5:
This entry pairs a crystal structure of MgMoP2O7 with its simulated X-ray diffraction stick pattern. Radiation: CuKα. Structure: DFT lattice parameters and positions (GGA+U).

Largest 10 diffraction maxima, by angle, 10 to 90 degrees two-theta:
| 2θ/deg | I (rel.) |
| --- | --- |
| 16.14 | 28 |
| 16.58 | 30 |
| 19.99 | 69 |
| 20.37 | 100 |
| 24.39 | 81 |
| 27.68 | 74 |
| 32.60 | 30 |
| 33.02 | 24 |
| 33.53 | 30 |
| 44.91 | 19 |

abc: 5.041 6.018 6.219
angles: 103.17 108.72 107.73
Space group P1 (No. 1)
Asymmetric unit:
1 Mg 0.000 0.000 0.000
2 Mo 0.641 0.475 0.563
3 P 0.035 0.466 0.103
4 P 0.035 0.902 0.437
5 O 0.031 0.633 0.946
6 O 0.064 0.630 0.364
7 O 0.315 0.394 0.182
8 O 0.350 0.101 0.509
9 O 0.755 0.222 0.978
10 O 0.794 0.899 0.215
11 O 0.933 0.882 0.644

=====

Entry 6:
This entry pairs a crystal structure of MgMoP2O7 with its simulated X-ray diffraction stick pattern. Radiation: CuKα. Structure: DFT lattice parameters and positions (GGA+U).

Largest 10 diffraction maxima, by angle, 10 to 90 degrees two-theta:
| 2θ/deg | I (rel.) |
| --- | --- |
| 15.43 | 63 |
| 22.82 | 37 |
| 23.44 | 59 |
| 24.58 | 100 |
| 26.09 | 62 |
| 26.95 | 70 |
| 27.83 | 59 |
| 30.15 | 62 |
| 31.32 | 38 |
| 48.54 | 38 |

abc: 5.007 5.263 5.979
angles: 105.67 92.16 96.96
Space group P1 (No. 1)
Asymmetric unit:
1 Mg 0.000 0.000 0.000
2 Mo 0.580 0.579 0.317
3 P 0.153 0.045 0.455
4 P 0.976 0.484 0.876
5 O 0.085 0.217 0.714
6 O 0.223 0.680 0.994
7 O 0.284 0.225 0.312
8 O 0.319 0.853 0.521
9 O 0.799 0.631 0.756
10 O 0.823 0.337 0.038
11 O 0.876 0.929 0.318